# 1
Structure and calculated powder diffractogram of NdHgAu2 (a cell relaxed with PBE; Cu Kα (weighted mean of Kα1 and Kα2)).

The 8 most intense peaks (2θ from 15° to 90°), sorted by position:
d = 4.126 Å, 21.5 deg, I 1; d = 3.573 Å, 24.9 deg, I 1; d = 2.527 Å, 35.5 deg, I 100; d = 2.155 Å, 41.9 deg, I 1; d = 1.787 Å, 51.1 deg, I 18; d = 1.459 Å, 63.8 deg, I 37; d = 1.263 Å, 75.2 deg, I 12; d = 1.130 Å, 86.0 deg, I 17

Crystal structure
```
NdHgAu2
1.0
0.0000 3.5735 3.5735
3.5735 0.0000 3.5735
3.5735 3.5735 0.0000
Nd Hg Au
1 1 2
Cartesian
0.0000 0.0000 0.0000 Nd
3.5735 3.5735 3.5735 Hg
1.7867 1.7867 1.7867 Au
5.3602 5.3602 5.3602 Au
```

=====

# 2
Structure and calculated powder diffractogram of Er4Ge6Ir7 (a cell relaxed with PBE; Cu Kα (weighted mean of Kα1 and Kα2)).

The 10 most intense peaks (2θ from 15° to 90°), sorted by position:
d = 3.415 Å, 26.1 deg, I 24; d = 2.958 Å, 30.2 deg, I 13; d = 2.415 Å, 37.2 deg, I 100; d = 2.236 Å, 40.3 deg, I 40; d = 2.091 Å, 43.3 deg, I 70; d = 1.784 Å, 51.2 deg, I 19; d = 1.479 Å, 62.8 deg, I 40; d = 1.261 Å, 75.4 deg, I 30; d = 1.233 Å, 77.4 deg, I 12; d = 1.208 Å, 79.3 deg, I 12

Crystal structure
```
Er4Ge6Ir7
1.0
-4.1830 4.1830 4.1830
4.1830 -4.1830 4.1830
4.1830 4.1830 -4.1830
Er Ge Ir
4 6 7
Cartesian
2.0915 2.0915 -2.0915 Er
2.0915 -2.0915 2.0915 Er
-2.0915 2.0915 2.0915 Er
2.0915 2.0915 2.0915 Er
2.6443 0.0000 0.0000 Ge
5.7216 0.0000 0.0000 Ge
0.0000 2.6443 0.0000 Ge
0.0000 0.0000 2.6443 Ge
0.0000 5.7216 0.0000 Ge
0.0000 0.0000 5.7216 Ge
0.0000 0.0000 0.0000 Ir
4.1830 2.0915 0.0000 Ir
4.1830 0.0000 2.0915 Ir
2.0915 4.1830 0.0000 Ir
2.0915 0.0000 4.1830 Ir
0.0000 4.1830 2.0915 Ir
0.0000 2.0915 4.1830 Ir
```